(1)
This entry pairs a crystal structure of RbZrCdF7 with its calculated powder diffraction line list. Radiation: Cu Kα (λ = 1.5418 Å). Structure: a PBE-relaxed structure.
Peak positions follow from Bragg's law for the DFT cell and can differ from measured ones.

Crystal structure
```
data_RbZrCdF7
_chemical_formula_sum 'Rb4 Zr4 Cd4 F28'
_cell_length_a 6.940
_cell_length_b 11.320
_cell_length_c 8.670
_cell_angle_alpha 90.00
_cell_angle_beta 90.00
_cell_angle_gamma 90.00
_symmetry_space_group_name_H-M 'C m c m'
_symmetry_Int_Tables_number 63
_symmetry_space_group_name_Hall '-C 2c 2'
loop_
_atom_site_label
_atom_site_type_symbol
_atom_site_fract_x
_atom_site_fract_y
_atom_site_fract_z
Rb1 Rb 0.000 0.000 0.000
Zr1 Zr 0.000 0.307 0.250
Cd1 Cd 0.000 0.309 0.750
F1 F 0.000 0.296 0.014
F2 F 0.000 0.490 0.250
F3 F 0.177 0.152 0.250
F4 F 0.205 0.142 0.750
```

The 10 most intense peaks (5 to 70 degrees two-theta), low angle first:
(hkl)  d [Å]  2theta  I_rel
0 0 2  4.335  20.49  52
1 1 2  3.497  25.47  81
2 0 0  3.470  25.67  76
0 2 2  3.442  25.89  75
1 3 0  3.315  26.89  100
2 2 2  2.444  36.78  41
0 0 4  2.168  41.67  42
3 3 0  1.972  46.02  40
1 5 2  1.928  47.14  47
1 3 4  1.814  50.29  34

(2)
This entry pairs a crystal structure of Cd4SF6 with its calculated powder diffraction line list. Radiation: Cu Kα (λ = 1.5418 Å). Structure: a PBE-relaxed structure.
Peak positions follow from Bragg's law for the DFT cell and can differ from measured ones.

Crystal structure
```
data_Cd4SF6
_chemical_formula_sum 'Cd8 S2 F12'
_cell_length_a 8.005
_cell_length_b 8.005
_cell_length_c 5.611
_cell_angle_alpha 90.00
_cell_angle_beta 90.00
_cell_angle_gamma 90.00
_symmetry_space_group_name_H-M 'P 42/n m c'
_symmetry_Int_Tables_number 137
loop_
_symmetry_equiv_pos_as_xyz
'x,y,z'
'-x,-y,-z'
'-y+1/2,x,z+1/2'
'y+1/2,-x,-z+1/2'
'-x+1/2,-y+1/2,z'
'x+1/2,y+1/2,-z'
'y,-x+1/2,z+1/2'
'-y,x+1/2,-z+1/2'
'x+1/2,-y,-z'
'-x+1/2,y,z'
'-y,-x,-z+1/2'
'y,x,z+1/2'
'-x,y+1/2,-z'
'x,-y+1/2,z'
'y+1/2,x+1/2,-z+1/2'
'-y+1/2,-x+1/2,z+1/2'
loop_
_atom_site_label
_atom_site_type_symbol
_atom_site_fract_x
_atom_site_fract_y
_atom_site_fract_z
Cd1 Cd 0.014 0.250 0.017
S1 S 0.250 0.750 0.750
F1 F 0.036 0.536 0.250
F2 F 0.250 0.250 0.278
```

The 10 most intense peaks (5 to 70 degrees two-theta), low angle first:
(hkl)  d [Å]  2theta  I_rel
2 0 1  3.259  27.37  100
2 2 0  2.830  31.61  16
0 0 2  2.806  31.90  7
3 0 1  2.410  37.31  3
4 0 0  2.001  45.31  19
2 2 2  1.993  45.52  38
4 2 1  1.705  53.75  27
2 0 3  1.695  54.12  13
4 0 2  1.629  56.48  7
4 4 0  1.415  66.02  5

(3)
This entry pairs a crystal structure of Cd4SF6 with its calculated powder diffraction line list. Radiation: Cu Kα (λ = 1.5418 Å). Structure: a PBE-relaxed structure.
Peak positions follow from Bragg's law for the DFT cell and can differ from measured ones.

Crystal structure
```
data_Cd4SF6
_chemical_formula_sum 'Cd12 S3 F18'
_cell_length_a 3.9033
_cell_length_b 3.9033
_cell_length_c 37.8370
_cell_angle_alpha 90.00
_cell_angle_beta 90.00
_cell_angle_gamma 120.00
_symmetry_space_group_name_H-M 'R -3 m'
_symmetry_Int_Tables_number 166
_symmetry_space_group_name_Hall '-R 3 2"'
loop_
_atom_site_label
_atom_site_type_symbol
_atom_site_fract_x
_atom_site_fract_y
_atom_site_fract_z
Cd1 Cd 0.0000 0.0000 0.1260
Cd2 Cd 0.0000 0.0000 0.2917
S1 S 0.0000 0.0000 0.5000
F1 F 0.0000 0.0000 0.0630
F2 F 0.0000 0.0000 0.2296
F3 F 0.0000 0.0000 0.3543
```

The 10 most intense peaks (5 to 70 degrees two-theta), low angle first:
(hkl)  d [Å]  2theta  I_rel
0 1 2  3.328  26.79  27
0 0 12  3.153  28.30  39
0 1 5  3.086  28.93  100
1 0 7  2.866  31.21  32
0 1 14  2.111  42.84  22
1 1 0  1.952  46.53  60
0 1 17  1.859  49.00  26
1 0 19  1.716  53.40  22
1 1 12  1.659  55.36  35
2 0 5  1.650  55.72  16

(4)
This entry pairs a crystal structure of TbCdF6 with its calculated powder diffraction line list. Radiation: Cu Kα (λ = 1.5418 Å). Structure: a PBE-relaxed structure.
Peak positions follow from Bragg's law for the DFT cell and can differ from measured ones.

Crystal structure
```
data_TbCdF6
_chemical_formula_sum 'Tb2 Cd2 F12'
_cell_length_a 5.381
_cell_length_b 5.381
_cell_length_c 7.887
_cell_angle_alpha 90.00
_cell_angle_beta 90.00
_cell_angle_gamma 90.00
_symmetry_space_group_name_H-M 'P 42/m'
_symmetry_Int_Tables_number 84
loop_
_symmetry_equiv_pos_as_xyz
'x,y,z'
'-x,-y,-z'
'-y,x,z+1/2'
'y,-x,-z+1/2'
'-x,-y,z'
'x,y,-z'
'y,-x,z+1/2'
'-y,x,-z+1/2'
loop_
_atom_site_label
_atom_site_type_symbol
_atom_site_fract_x
_atom_site_fract_y
_atom_site_fract_z
Tb1 Tb 0.000 0.000 0.250
Cd1 Cd 0.500 0.500 0.000
F1 F 0.153 0.803 0.000
F2 F 0.248 0.688 0.326
```

The 10 most intense peaks (5 to 70 degrees two-theta), low angle first:
(hkl)  d [Å]  2theta  I_rel
1 1 0  3.805  23.38  100
1 0 2  3.181  28.05  97
2 0 0  2.690  33.30  17
2 1 2  2.054  44.09  80
2 2 0  1.902  47.81  21
1 1 4  1.751  52.25  22
1 3 0  1.701  53.88  17
3 0 2  1.633  56.35  23
2 0 4  1.590  57.99  15
3 2 2  1.396  67.06  15

(5)
This entry pairs a crystal structure of ZrTlCdF7 with its calculated powder diffraction line list. Radiation: Cu Kα (λ = 1.5418 Å). Structure: a PBE-relaxed structure.
Peak positions follow from Bragg's law for the DFT cell and can differ from measured ones.

Crystal structure
```
data_ZrTlCdF7
_chemical_formula_sum 'Zr4 Tl4 Cd4 F28'
_cell_length_a 6.944
_cell_length_b 11.328
_cell_length_c 8.651
_cell_angle_alpha 90.00
_cell_angle_beta 90.00
_cell_angle_gamma 90.00
_symmetry_space_group_name_H-M 'C m c m'
_symmetry_Int_Tables_number 63
_symmetry_space_group_name_Hall '-C 2c 2'
loop_
_atom_site_label
_atom_site_type_symbol
_atom_site_fract_x
_atom_site_fract_y
_atom_site_fract_z
Zr1 Zr 0.000 0.191 0.250
Tl1 Tl 0.000 0.500 0.000
Cd1 Cd 0.000 0.192 0.750
F1 F 0.000 0.009 0.250
F2 F 0.000 0.201 0.014
F3 F 0.177 0.347 0.250
F4 F 0.204 0.359 0.750
```

The 10 most intense peaks (5 to 70 degrees two-theta), low angle first:
(hkl)  d [Å]  2theta  I_rel
1 1 2  3.493  25.50  100
2 0 0  3.472  25.66  60
0 2 2  3.438  25.92  72
1 3 0  3.317  26.88  86
2 2 2  2.443  36.79  46
0 0 4  2.163  41.76  28
3 1 2  2.008  45.14  32
3 3 0  1.973  45.99  30
1 5 2  1.928  47.14  40
1 3 4  1.812  50.37  31

(6)
This entry pairs a crystal structure of Mg14CdFe with its calculated powder diffraction line list. Radiation: Cu Kα (λ = 1.5418 Å). Structure: a PBE-relaxed structure.
Peak positions follow from Bragg's law for the DFT cell and can differ from measured ones.

Crystal structure
```
data_Mg14CdFe
_chemical_formula_sum 'Mg28 Cd2 Fe2'
_cell_length_a 9.903
_cell_length_b 6.302
_cell_length_c 10.850
_cell_angle_alpha 90.00
_cell_angle_beta 90.00
_cell_angle_gamma 90.00
_symmetry_space_group_name_H-M 'A m m 2'
_symmetry_Int_Tables_number 38
loop_
_symmetry_equiv_pos_as_xyz
'x,y,z'
'-x,-y,z'
'-x,y,z'
'x,-y,z'
'x,y+1/2,z+1/2'
'-x,-y+1/2,z+1/2'
'-x,y+1/2,z+1/2'
'x,-y+1/2,z+1/2'
loop_
_atom_site_label
_atom_site_type_symbol
_atom_site_fract_x
_atom_site_fract_y
_atom_site_fract_z
Mg1 Mg 0.000 0.000 0.000
Mg2 Mg 0.000 0.000 0.498
Mg3 Mg 0.000 0.247 0.251
Mg4 Mg 0.248 0.000 0.667
Mg5 Mg 0.262 0.000 0.160
Mg6 Mg 0.266 0.239 0.922
Mg7 Mg 0.500 0.249 0.748
Cd1 Cd 0.500 0.000 0.503
Fe1 Fe 0.500 0.000 0.001
```

The 10 most intense peaks (5 to 70 degrees two-theta), low angle first:
(hkl)  d [Å]  2theta  I_rel
1 0 0  9.903  8.93  63
0 0 2  5.430  16.32  20
1 0 2  4.762  18.63  30
0 2 2  2.725  32.87  28
4 0 0  2.476  36.28  35
2 2 2  2.387  37.68  100
2 0 4  2.379  37.82  49
4 2 2  1.832  49.76  16
0 2 6  1.568  58.88  17
6 2 2  1.411  66.23  24

(7)
This entry pairs a crystal structure of Mg14CdFe with its calculated powder diffraction line list. Radiation: Cu Kα (λ = 1.5418 Å). Structure: a PBE-relaxed structure.
Peak positions follow from Bragg's law for the DFT cell and can differ from measured ones.

Crystal structure
```
data_Mg14CdFe
_chemical_formula_sum 'Mg14 Cd1 Fe1'
_cell_length_a 6.2885
_cell_length_b 6.2885
_cell_length_c 9.9118
_cell_angle_alpha 90.00
_cell_angle_beta 90.00
_cell_angle_gamma 120.00
_symmetry_space_group_name_H-M 'P -6 m 2'
_symmetry_Int_Tables_number 187
_symmetry_space_group_name_Hall 'P -6 2'
loop_
_atom_site_label
_atom_site_type_symbol
_atom_site_fract_x
_atom_site_fract_y
_atom_site_fract_z
Mg1 Mg 0.0000 0.0000 0.2477
Mg2 Mg 0.0147 0.5074 0.2618
Mg3 Mg 0.3306 0.1653 0.5000
Mg4 Mg 0.3358 0.1679 0.0000
Cd1 Cd 0.3333 0.6667 0.0000
Fe1 Fe 0.3333 0.6667 0.5000
```

The 10 most intense peaks (5 to 70 degrees two-theta), low angle first:
(hkl)  d [Å]  2theta  I_rel
1 0 0  5.446  16.28  32
1 0 2  3.665  24.28  19
2 0 0  2.723  32.89  28
1 1 2  2.655  33.76  9
0 0 4  2.478  36.25  24
2 0 2  2.386  37.69  100
2 1 2  1.901  47.85  9
2 0 4  1.833  49.75  17
2 2 0  1.572  58.73  17
2 0 6  1.412  66.16  17

(8)
This entry pairs a crystal structure of Mg6CdFe with its calculated powder diffraction line list. Radiation: Cu Kα (λ = 1.5418 Å). Structure: a PBE-relaxed structure.
Peak positions follow from Bragg's law for the DFT cell and can differ from measured ones.

Crystal structure
```
data_Mg6CdFe
_chemical_formula_sum 'Mg12 Cd2 Fe2'
_cell_length_a 4.861
_cell_length_b 6.148
_cell_length_c 10.594
_cell_angle_alpha 90.00
_cell_angle_beta 90.00
_cell_angle_gamma 90.00
_symmetry_space_group_name_H-M 'A m m 2'
_symmetry_Int_Tables_number 38
loop_
_symmetry_equiv_pos_as_xyz
'x,y,z'
'-x,-y,z'
'-x,y,z'
'x,-y,z'
'x,y+1/2,z+1/2'
'-x,-y+1/2,z+1/2'
'-x,y+1/2,z+1/2'
'x,-y+1/2,z+1/2'
loop_
_atom_site_label
_atom_site_type_symbol
_atom_site_fract_x
_atom_site_fract_y
_atom_site_fract_z
Mg1 Mg 0.000 0.000 0.000
Mg2 Mg 0.000 0.000 0.491
Mg3 Mg 0.000 0.236 0.236
Mg4 Mg 0.500 0.248 0.907
Cd1 Cd 0.500 0.000 0.657
Fe1 Fe 0.500 0.000 0.156
```

The 10 most intense peaks (5 to 70 degrees two-theta), low angle first:
(hkl)  d [Å]  2theta  I_rel
0 0 2  5.301  16.72  51
1 0 0  4.861  18.25  30
1 0 2  3.584  24.84  40
0 2 2  2.659  33.71  33
1 2 0  2.596  34.55  17
2 0 0  2.431  36.98  36
1 2 2  2.333  38.60  100
1 0 4  2.326  38.72  50
2 2 2  1.793  50.93  29
3 0 4  1.383  67.75  26

(9)
This entry pairs a crystal structure of Mg6CdFe with its calculated powder diffraction line list. Radiation: Cu Kα (λ = 1.5418 Å). Structure: a PBE-relaxed structure.
Peak positions follow from Bragg's law for the DFT cell and can differ from measured ones.

Crystal structure
```
data_Mg6CdFe
_chemical_formula_sum 'Mg12 Cd2 Fe2'
_cell_length_a 4.880
_cell_length_b 6.135
_cell_length_c 10.428
_cell_angle_alpha 90.00
_cell_angle_beta 90.00
_cell_angle_gamma 90.00
_symmetry_space_group_name_H-M 'A m m 2'
_symmetry_Int_Tables_number 38
loop_
_symmetry_equiv_pos_as_xyz
'x,y,z'
'-x,-y,z'
'-x,y,z'
'x,-y,z'
'x,y+1/2,z+1/2'
'-x,-y+1/2,z+1/2'
'-x,y+1/2,z+1/2'
'x,-y+1/2,z+1/2'
loop_
_atom_site_label
_atom_site_type_symbol
_atom_site_fract_x
_atom_site_fract_y
_atom_site_fract_z
Mg1 Mg 0.000 0.000 0.000
Mg2 Mg 0.000 0.234 0.743
Mg3 Mg 0.500 0.000 0.172
Mg4 Mg 0.500 0.249 0.421
Cd1 Cd 0.000 0.000 0.505
Fe1 Fe 0.500 0.000 0.684
```

The 10 most intense peaks (5 to 70 degrees two-theta), low angle first:
(hkl)  d [Å]  2theta  I_rel
0 1 1  5.288  16.77  57
1 1 1  3.586  24.83  24
1 0 2  3.563  24.99  25
0 2 2  2.644  33.91  21
0 0 4  2.607  34.40  16
1 1 3  2.571  34.90  23
2 0 0  2.440  36.84  36
1 2 2  2.325  38.74  100
1 0 4  2.299  39.18  40
3 2 2  1.385  67.62  18

(10)
This entry pairs a crystal structure of CdFe2N2 with its calculated powder diffraction line list. Radiation: Cu Kα (λ = 1.5418 Å). Structure: a PBE-relaxed structure.
Peak positions follow from Bragg's law for the DFT cell and can differ from measured ones.

Crystal structure
```
data_CdFe2N2
_chemical_formula_sum 'Cd2 Fe4 N4'
_cell_length_a 5.330
_cell_length_b 3.173
_cell_length_c 7.993
_cell_angle_alpha 90.00
_cell_angle_beta 108.90
_cell_angle_gamma 90.00
_symmetry_space_group_name_H-M 'C 1 2/m 1'
_symmetry_Int_Tables_number 12
loop_
_symmetry_equiv_pos_as_xyz
'x,y,z'
'-x,-y,-z'
'-x,y,-z'
'x,-y,z'
'x+1/2,y+1/2,z'
'-x+1/2,-y+1/2,-z'
'-x+1/2,y+1/2,-z'
'x+1/2,-y+1/2,z'
loop_
_atom_site_label
_atom_site_type_symbol
_atom_site_fract_x
_atom_site_fract_y
_atom_site_fract_z
Cd1 Cd 0.000 0.000 0.000
Fe1 Fe 0.224 0.500 0.612
N1 N 0.093 0.500 0.345
```

The 10 most intense peaks (5 to 70 degrees two-theta), low angle first:
(hkl)  d [Å]  2theta  I_rel
0 0 2  3.781  23.53  39
1 1 -1  2.681  33.42  100
2 0 -1  2.665  33.63  38
0 0 3  2.521  35.62  36
2 0 1  2.189  41.25  23
1 1 2  2.030  44.63  45
1 1 -3  2.020  44.87  30
2 0 -4  1.822  50.06  19
0 2 0  1.587  58.14  13
3 1 -2  1.541  60.05  21

(11)
This entry pairs a crystal structure of Cd3Fe2N4 with its calculated powder diffraction line list. Radiation: Cu Kα (λ = 1.5418 Å). Structure: a PBE-relaxed structure.
Peak positions follow from Bragg's law for the DFT cell and can differ from measured ones.

Crystal structure
```
data_Cd3Fe2N4
_chemical_formula_sum 'Cd12 Fe8 N16'
_cell_length_a 13.572
_cell_length_b 8.052
_cell_length_c 5.483
_cell_angle_alpha 90.00
_cell_angle_beta 104.84
_cell_angle_gamma 90.00
_symmetry_space_group_name_H-M 'C 1 2/c 1'
_symmetry_Int_Tables_number 15
loop_
_symmetry_equiv_pos_as_xyz
'x,y,z'
'-x,-y,-z'
'-x,y,-z+1/2'
'x,-y,z+1/2'
'x+1/2,y+1/2,z'
'-x+1/2,-y+1/2,-z'
'-x+1/2,y+1/2,-z+1/2'
'x+1/2,-y+1/2,z+1/2'
loop_
_atom_site_label
_atom_site_type_symbol
_atom_site_fract_x
_atom_site_fract_y
_atom_site_fract_z
Cd1 Cd 0.000 0.110 0.250
Cd2 Cd 0.113 0.230 0.862
Fe1 Fe 0.232 0.392 0.414
N1 N 0.150 0.225 0.463
N2 N 0.218 0.432 0.088
```

The 10 most intense peaks (5 to 70 degrees two-theta), low angle first:
(hkl)  d [Å]  2theta  I_rel
1 1 0  6.862  12.90  82
0 2 0  4.026  22.08  44
3 1 0  3.843  23.15  30
3 1 1  2.824  31.69  100
2 2 1  2.719  32.94  44
2 0 -2  2.710  33.06  90
4 2 0  2.543  35.30  64
5 1 -1  2.504  35.86  85
1 3 -1  2.405  37.39  88
4 4 0  1.716  53.40  39

Number 7 is which compound? Mg14CdFe